[1]
For Mg2As, a crystal structure in the Materials Project, relaxed with GGA-PBE gives the calculated powder diffraction line list in this record (a wavelength of 1.5418 Å).

Structural model:
```
data_Mg2As
_chemical_formula_sum 'Mg8 As4'
_symmetry_space_group_name_H-M 'I m m m'
_symmetry_Int_Tables_number 71
_symmetry_space_group_name_Hall '-I 2 2'
_cell_length_a 3.835
_cell_length_b 5.609
_cell_length_c 11.909
_cell_angle_alpha 90.00
_cell_angle_beta 90.00
_cell_angle_gamma 90.00
loop_
_atom_site_label
_atom_site_type_symbol
_atom_site_fract_x
_atom_site_fract_y
_atom_site_fract_z
Mg1 Mg 0.000 0.000 0.197
Mg2 Mg 0.000 0.245 0.500
As1 As 0.000 0.500 0.144
```

Principal peaks in the range 5° ≤ 2θ ≤ 70°, sorted by position:
Position (°2θ)  Rel. int.  index
17.5  53.9  0 1 1
27.5  25.4  0 1 3
28.2  26.8  1 1 0
31.9  22.6  0 2 0
32.5  100.0  1 0 3
35.4  23.5  0 2 2
40.6  51.8  1 2 1
41.6  41.2  1 1 4
44.4  23.2  0 2 4
46.2  23.4  1 2 3


[2]
For Mg2As, a crystal structure in the Materials Project, relaxed with GGA-PBE gives the calculated powder diffraction line list in this record (a wavelength of 1.5418 Å).

Structural model:
```
data_Mg2As
_chemical_formula_sum 'Mg8 As4'
_symmetry_space_group_name_H-M 'C m c m'
_symmetry_Int_Tables_number 63
_symmetry_space_group_name_Hall '-C 2c 2'
_cell_length_a 4.222
_cell_length_b 17.250
_cell_length_c 4.586
_cell_angle_alpha 90.00
_cell_angle_beta 90.00
_cell_angle_gamma 90.00
loop_
_atom_site_label
_atom_site_type_symbol
_atom_site_fract_x
_atom_site_fract_y
_atom_site_fract_z
Mg1 Mg 0.000 0.066 0.250
Mg2 Mg 0.000 0.263 0.250
As1 As 0.000 0.338 0.750
```

Principal peaks in the range 5° ≤ 2θ ≤ 70°, sorted by position:
Position (°2θ)  Rel. int.  index
10.3  74.5  0 2 0
22.0  100.0  0 2 1
26.2  77.3  1 3 0
39.0  87.0  1 5 1
39.3  25.4  0 0 2
42.8  19.8  2 0 0
47.1  19.4  1 7 1
47.8  29.1  1 3 2
48.6  23.0  2 2 1
59.5  14.5  2 0 2


[3]
For Mg2MnAs2, a crystal structure in the Materials Project, relaxed with GGA-PBE gives the calculated powder diffraction line list in this record (a wavelength of 1.5418 Å).

Structural model:
```
data_Mg2MnAs2
_chemical_formula_sum 'Mg2 Mn1 As2'
_symmetry_space_group_name_H-M 'P 3 m 1'
_symmetry_Int_Tables_number 156
_symmetry_space_group_name_Hall 'P 3 -2"'
_cell_length_a 4.2310
_cell_length_b 4.2310
_cell_length_c 6.7296
_cell_angle_alpha 90.00
_cell_angle_beta 90.00
_cell_angle_gamma 120.00
loop_
_atom_site_label
_atom_site_type_symbol
_atom_site_fract_x
_atom_site_fract_y
_atom_site_fract_z
Mg1 Mg 0.0000 0.0000 0.0000
Mg2 Mg 0.3333 0.6667 0.6335
Mn1 Mn 0.6667 0.3333 0.2700
As1 As 0.0000 0.0000 0.4005
As2 As 0.6667 0.3333 0.8687
```

Principal peaks in the range 5° ≤ 2θ ≤ 70°, sorted by position:
Position (°2θ)  Rel. int.  index
24.3  62.6  1 0 0
26.5  35.0  0 0 2
27.7  84.9  0 1 1
36.2  98.4  0 1 2
42.7  100.0  1 1 0
47.5  61.3  1 0 3
51.0  33.6  1 1 2
51.7  14.9  2 0 1
57.3  24.8  2 0 2
65.8  22.4  0 2 3


[4]
For Mg3AsN, a crystal structure in the Materials Project, relaxed with GGA-PBE gives the calculated powder diffraction line list in this record (a wavelength of 1.5418 Å).

Structural model:
```
data_Mg3AsN
_chemical_formula_sum 'Mg3 As1 N1'
_symmetry_space_group_name_H-M 'P m -3 m'
_symmetry_Int_Tables_number 221
_symmetry_space_group_name_Hall '-P 4 2 3'
_cell_length_a 4.243
_cell_length_b 4.243
_cell_length_c 4.243
_cell_angle_alpha 90.00
_cell_angle_beta 90.00
_cell_angle_gamma 90.00
loop_
_atom_site_label
_atom_site_type_symbol
_atom_site_fract_x
_atom_site_fract_y
_atom_site_fract_z
Mg1 Mg 0.000 0.000 0.500
As1 As 0.500 0.500 0.500
N1 N 0.000 0.000 0.000
```

Principal peaks in the range 5° ≤ 2θ ≤ 70°, sorted by position:
Position (°2θ)  Rel. int.  index
20.9  20.5  1 0 0
29.8  57.3  1 1 0
36.7  100.0  1 1 1
42.6  68.3  2 0 0
47.9  11.1  2 1 0
52.9  20.7  2 1 1
61.8  42.5  2 2 0
66.1  5.9  3 0 0


[5]
For NaMgAs, a crystal structure in the Materials Project, relaxed with GGA-PBE gives the calculated powder diffraction line list in this record (a wavelength of 1.5418 Å).

Structural model:
```
data_NaMgAs
_chemical_formula_sum 'Na2 Mg2 As2'
_symmetry_space_group_name_H-M 'P 4/n m m'
_symmetry_Int_Tables_number 129
_cell_length_a 4.423
_cell_length_b 4.423
_cell_length_c 7.198
_cell_angle_alpha 90.00
_cell_angle_beta 90.00
_cell_angle_gamma 90.00
loop_
_symmetry_equiv_pos_as_xyz
'x,y,z'
'-x,-y,-z'
'-y+1/2,x,z'
'y+1/2,-x,-z'
'-x+1/2,-y+1/2,z'
'x+1/2,y+1/2,-z'
'y,-x+1/2,z'
'-y,x+1/2,-z'
'x+1/2,-y,-z'
'-x+1/2,y,z'
'-y,-x,-z'
'y,x,z'
'-x,y+1/2,-z'
'x,-y+1/2,z'
'y+1/2,x+1/2,-z'
'-y+1/2,-x+1/2,z'
loop_
_atom_site_label
_atom_site_type_symbol
_atom_site_fract_x
_atom_site_fract_y
_atom_site_fract_z
Na1 Na 0.250 0.250 0.134
Mg1 Mg 0.250 0.750 0.500
As1 As 0.250 0.250 0.718
```

Principal peaks in the range 5° ≤ 2θ ≤ 70°, sorted by position:
Position (°2θ)  Rel. int.  index
12.3  23.5  0 0 1
23.6  100.0  1 0 1
28.5  54.3  1 1 0
32.1  42.0  1 0 2
38.1  84.6  1 1 2
40.8  57.2  2 0 0
42.9  36.7  1 0 3
47.7  41.3  2 1 1
52.8  19.3  2 1 2
60.7  26.7  2 1 3


[6]
For Na2MgZn5As6O24, a crystal structure in the Materials Project, relaxed with GGA-PBE gives the calculated powder diffraction line list in this record (a wavelength of 1.5418 Å).

Structural model:
```
data_Na2MgZn5As6O24
_chemical_formula_sum 'Na4 Mg2 Zn10 As12 O48'
_symmetry_space_group_name_H-M 'C 1 2 1'
_symmetry_Int_Tables_number 5
_symmetry_space_group_name_Hall 'C 2y'
_cell_length_a 12.236
_cell_length_b 12.375
_cell_length_c 6.900
_cell_angle_alpha 90.00
_cell_angle_beta 113.05
_cell_angle_gamma 90.00
loop_
_atom_site_label
_atom_site_type_symbol
_atom_site_fract_x
_atom_site_fract_y
_atom_site_fract_z
Na1 Na 0.000 0.000 0.000
Na2 Na 0.000 0.019 0.500
Mg1 Mg 0.000 0.727 0.500
Zn1 Zn 0.000 0.293 0.000
Zn2 Zn 0.209 0.168 0.872
Zn3 Zn 0.209 0.851 0.372
As1 As 0.000 0.321 0.500
As2 As 0.000 0.699 0.000
As3 As 0.224 0.123 0.365
As4 As 0.225 0.895 0.865
O1 O 0.035 0.242 0.725
O2 O 0.035 0.776 0.226
O3 O 0.118 0.404 0.517
O4 O 0.118 0.615 0.016
O5 O 0.127 0.415 0.084
O6 O 0.128 0.605 0.586
O7 O 0.147 0.005 0.346
O8 O 0.147 0.013 0.846
O9 O 0.151 0.186 0.123
O10 O 0.151 0.832 0.624
O11 O 0.211 0.199 0.566
O12 O 0.211 0.820 0.066
```

Principal peaks in the range 5° ≤ 2θ ≤ 70°, sorted by position:
Position (°2θ)  Rel. int.  index
14.3  58.3  0 2 0
15.7  46.9  2 0 0
24.8  32.8  3 1 0
27.0  100.0  1 1 -2
31.8  30.6  4 0 0
32.2  74.7  3 3 0
33.0  72.1  2 4 0
33.3  30.9  4 0 -2
34.0  60.4  1 3 -2
53.5  37.7  2 0 -4


[7]
For Mg6Ni16As7, a crystal structure in the Materials Project, relaxed with GGA-PBE gives the calculated powder diffraction line list in this record (a wavelength of 1.5418 Å).

Structural model:
```
data_Mg6Ni16As7
_chemical_formula_sum 'Mg24 Ni64 As28'
_symmetry_space_group_name_H-M 'F m -3 m'
_symmetry_Int_Tables_number 225
_symmetry_space_group_name_Hall '-F 4 2 3'
_cell_length_a 11.542
_cell_length_b 11.542
_cell_length_c 11.542
_cell_angle_alpha 90.00
_cell_angle_beta 90.00
_cell_angle_gamma 90.00
loop_
_atom_site_label
_atom_site_type_symbol
_atom_site_fract_x
_atom_site_fract_y
_atom_site_fract_z
Mg1 Mg 0.000 0.000 0.199
Ni1 Ni 0.118 0.118 0.382
Ni2 Ni 0.167 0.167 0.167
As1 As 0.000 0.000 0.500
As2 As 0.000 0.250 0.250
```

Principal peaks in the range 5° ≤ 2θ ≤ 70°, sorted by position:
Position (°2θ)  Rel. int.  index
13.3  26.6  1 1 1
15.4  26.4  2 0 0
26.8  20.9  2 2 2
38.2  9.1  4 2 2
40.6  36.4  3 3 3
44.4  100.0  4 4 0
46.6  32.1  5 3 1
50.0  9.3  6 2 0
52.0  7.9  5 3 3
52.6  28.5  6 2 2


[8]
For MgNi4As4S4, a crystal structure in the Materials Project, relaxed with GGA-PBE gives the calculated powder diffraction line list in this record (a wavelength of 1.5418 Å).

Structural model:
```
data_MgNi4As4S4
_chemical_formula_sum 'Mg3 Ni12 As12 S12'
_symmetry_space_group_name_H-M 'R 3'
_symmetry_Int_Tables_number 146
_symmetry_space_group_name_Hall 'R 3'
_cell_length_a 8.3336
_cell_length_b 8.3336
_cell_length_c 10.4457
_cell_angle_alpha 90.00
_cell_angle_beta 90.00
_cell_angle_gamma 120.00
loop_
_atom_site_label
_atom_site_type_symbol
_atom_site_fract_x
_atom_site_fract_y
_atom_site_fract_z
Mg1 Mg 0.0000 0.0000 0.0000
Ni1 Ni 0.0000 0.0000 0.7648
Ni2 Ni 0.9996 0.4800 0.7955
As1 As 0.0000 0.0000 0.4337
As2 As 0.0613 0.6733 0.5713
S1 S 0.0000 0.0000 0.2149
S2 S 0.0257 0.2629 0.6609
```

Principal peaks in the range 5° ≤ 2θ ≤ 70°, sorted by position:
Position (°2θ)  Rel. int.  index
30.1  66.2  2 0 2
33.5  100.0  1 1 3
34.0  48.0  3 -1 1
37.2  42.6  3 -2 2
37.4  55.9  3 0 0
42.7  32.5  0 2 4
43.4  29.5  2 2 0
50.5  30.2  2 0 5
51.1  60.0  4 -2 3
51.4  31.1  4 0 1


[9]
For Mg2As2O7, a crystal structure in the Materials Project, relaxed with GGA-PBE gives the calculated powder diffraction line list in this record (a wavelength of 1.5418 Å).

Structural model:
```
data_Mg2As2O7
_chemical_formula_sum 'Mg4 As4 O14'
_symmetry_space_group_name_H-M 'C 1 2/m 1'
_symmetry_Int_Tables_number 12
_symmetry_space_group_name_Hall '-C 2y'
_cell_length_a 6.623
_cell_length_b 8.687
_cell_length_c 4.845
_cell_angle_alpha 90.00
_cell_angle_beta 103.26
_cell_angle_gamma 90.00
loop_
_atom_site_label
_atom_site_type_symbol
_atom_site_fract_x
_atom_site_fract_y
_atom_site_fract_z
Mg1 Mg 0.000 0.189 0.000
As1 As 0.236 0.500 0.399
O1 O 0.000 0.500 0.500
O2 O 0.095 0.000 0.274
O3 O 0.234 0.335 0.207
```

Principal peaks in the range 5° ≤ 2θ ≤ 70°, sorted by position:
Position (°2θ)  Rel. int.  index
18.8  12.8  0 0 1
20.4  33.9  0 2 0
23.1  11.0  1 1 -1
27.7  16.4  2 0 0
27.9  100.0  0 2 1
29.8  27.7  2 0 -1
34.7  15.7  2 2 0
36.4  11.0  2 2 -1
43.4  12.8  3 1 -1
54.5  17.2  1 3 2